Starting from a cell relaxed with PBE, the X-ray powder pattern of Pr4Nd3Pb was simulated for CuKα.
Kinematic intensities with the Lorentz-polarization factor, no thermal factor.

Structure:
```
data_Pr4Nd3Pb
_chemical_formula_sum 'Pr8 Nd6 Pb2'
_cell_length_a 10.2427
_cell_length_b 7.2486
_cell_length_c 7.2774
_cell_angle_alpha 90.00
_cell_angle_beta 90.00
_cell_angle_gamma 90.00
_symmetry_space_group_name_H-M 'P m n 21'
_symmetry_Int_Tables_number 31
_symmetry_space_group_name_Hall 'P 2ac -2'
loop_
_atom_site_label
_atom_site_type_symbol
_atom_site_fract_x
_atom_site_fract_y
_atom_site_fract_z
Pr1 Pr 0.0000 0.0005 0.0000
Pr2 Pr 0.0000 0.4990 0.5010
Pr3 Pr 0.2505 0.2418 0.7504
Nd1 Nd 0.0000 0.5001 0.0002
Nd2 Nd 0.2499 0.2388 0.2503
Pb1 Pb 0.0000 0.9999 0.5005
```

Principal peaks in the range 2θ from 15° to 90°, most intense first:
- 30.17°, rel. 100, (2 0 2)
- 34.94°, rel. 34, (0 2 2)
- 50.33°, rel. 30, (4 2 2)
- 59.84°, rel. 28, (6 0 2)
- 35.04°, rel. 17, (4 0 0)
- 59.66°, rel. 14, (2 2 4)
- 81.93°, rel. 9, (6 4 2)
- 84.55°, rel. 8, (8 2 2)
- 62.64°, rel. 6, (4 0 4)
- 50.14°, rel. 6, (0 0 4)

Starting from a cell relaxed with PBE, the X-ray powder pattern of Pr5Nd8Pb was simulated for CuKα.
Kinematic intensities with the Lorentz-polarization factor, no thermal factor.

Structure:
```
data_Pr5Nd8Pb
_chemical_formula_sum 'Pr10 Nd16 Pb2'
_cell_length_a 15.9649
_cell_length_b 8.5299
_cell_length_c 8.6896
_cell_angle_alpha 90.00
_cell_angle_beta 122.29
_cell_angle_gamma 90.00
_symmetry_space_group_name_H-M 'C 1 2 1'
_symmetry_Int_Tables_number 5
_symmetry_space_group_name_Hall 'C 2y'
loop_
_atom_site_label
_atom_site_type_symbol
_atom_site_fract_x
_atom_site_fract_y
_atom_site_fract_z
Pr1 Pr 0.0000 0.0000 0.0000
Pr2 Pr 0.0509 0.6556 0.3236
Pr3 Pr 0.1030 0.3284 0.9711
Nd1 Nd 0.1260 0.9746 0.7053
Nd2 Nd 0.1640 0.7174 0.0753
Nd3 Nd 0.1836 0.2597 0.4311
Nd4 Nd 0.2027 0.5440 0.7683
Pb1 Pb 0.0000 0.3159 0.5000
```

Principal peaks in the range 2θ from 15° to 90°, most intense first:
- 30.35°, rel. 100, (5 1 -1)
- 32.17°, rel. 94, (1 3 0)
- 30.60°, rel. 73, (5 1 -2)
- 30.74°, rel. 61, (4 2 -1)
- 30.18°, rel. 53, (3 1 1)
- 31.67°, rel. 39, (4 0 -3)
- 29.35°, rel. 22, (2 2 -2)
- 31.51°, rel. 20, (2 0 -3)
- 24.19°, rel. 19, (2 2 -1)
- 55.02°, rel. 19, (1 1 4)

Starting from a cell relaxed with PBE, the X-ray powder pattern of Pr8NdPb6 was simulated for CuKα.
Kinematic intensities with the Lorentz-polarization factor, no thermal factor.

Structure:
```
data_Pr8NdPb6
_chemical_formula_sum 'Pr24 Nd3 Pb18'
_cell_length_a 9.5635
_cell_length_b 9.5635
_cell_length_c 20.2034
_cell_angle_alpha 90.00
_cell_angle_beta 90.00
_cell_angle_gamma 120.00
_symmetry_space_group_name_H-M 'R -3'
_symmetry_Int_Tables_number 148
_symmetry_space_group_name_Hall '-R 3'
loop_
_atom_site_label
_atom_site_type_symbol
_atom_site_fract_x
_atom_site_fract_y
_atom_site_fract_z
Pr1 Pr 0.0000 0.0000 0.1666
Pr2 Pr 0.9999 0.3341 0.6019
Nd1 Nd 0.0000 0.0000 0.5000
Pb1 Pb 0.0000 0.3321 0.4308
```

Principal peaks in the range 2θ from 15° to 90°, most intense first:
- 32.47°, rel. 100, (3 0 0)
- 57.89°, rel. 28, (3 3 0)
- 46.59°, rel. 17, (4 -2 6)
- 42.34°, rel. 14, (3 0 6)
- 18.56°, rel. 12, (1 1 0)
- 22.81°, rel. 12, (1 1 3)
- 58.08°, rel. 9, (2 -1 12)
- 77.48°, rel. 8, (5 -1 12)
- 26.47°, rel. 8, (0 0 6)
- 77.33°, rel. 8, (7 -2 6)

Starting from a cell relaxed with PBE, the X-ray powder pattern of Pr3NdPb2S was simulated for CuKα.
Kinematic intensities with the Lorentz-polarization factor, no thermal factor.

Structure:
```
data_Pr3NdPb2S
_chemical_formula_sum 'Pr6 Nd2 Pb4 S2'
_cell_length_a 5.2897
_cell_length_b 5.3217
_cell_length_c 16.8184
_cell_angle_alpha 90.00
_cell_angle_beta 90.00
_cell_angle_gamma 90.00
_symmetry_space_group_name_H-M 'I m m m'
_symmetry_Int_Tables_number 71
_symmetry_space_group_name_Hall '-I 2 2'
loop_
_atom_site_label
_atom_site_type_symbol
_atom_site_fract_x
_atom_site_fract_y
_atom_site_fract_z
Pr1 Pr 0.0000 0.0000 0.0000
Pr2 Pr 0.0000 0.5000 0.1693
Nd1 Nd 0.0000 0.0000 0.5000
Pb1 Pb 0.0000 0.5000 0.3637
S1 S 0.0000 0.5000 0.0000
```

Principal peaks in the range 2θ from 15° to 90°, most intense first:
- 31.96°, rel. 100, (0 0 6)
- 26.01°, rel. 48, (1 1 2)
- 33.68°, rel. 30, (0 2 0)
- 33.89°, rel. 30, (2 0 0)
- 23.72°, rel. 27, (1 1 0)
- 48.53°, rel. 22, (2 2 0)
- 31.49°, rel. 19, (0 1 5)
- 59.17°, rel. 16, (1 3 4)
- 59.44°, rel. 14, (3 1 4)
- 59.28°, rel. 14, (2 2 6)